Simulated powder X-ray diffraction pattern of Cu5IBr12 for CuKα, from DFT lattice parameters and positions (PBE).
Neutral-atom scattering factors, no anomalous dispersion.

Atomic structure:
Unit cell a=5.947 b=7.507 c=13.769 alpha=93.26 beta=91.01 gamma=103.60
Space group P-1 (No. 2)
Symmetry-distinct sites (fractional):
Cu: 0.000 0.000 0.000 (multiplicity 1)
Cu: 0.236 0.360 0.532 (multiplicity 2)
Cu: 0.338 0.666 0.001 (multiplicity 2)
I: 0.500 0.000 0.500 (multiplicity 1)
Br: 0.079 0.277 0.684 (multiplicity 2)
Br: 0.091 0.787 0.115 (multiplicity 2)
Br: 0.099 0.785 0.567 (multiplicity 2)
Br: 0.249 0.881 0.893 (multiplicity 2)
Br: 0.411 0.447 0.111 (multiplicity 2)
Br: 0.416 0.471 0.383 (multiplicity 2)

The 10 most intense peaks (10 to 90 degrees two-theta), low angle first:
| d/Å | 2theta | I/Imax | h k l |
| --- | --- | --- | --- |
| 6.870 | 12.9 | 100 | 0 0 2 |
| 4.081 | 21.8 | 20 | 1 1 0 |
| 3.851 | 23.1 | 67 | 1 1 1 |
| 3.473 | 25.6 | 68 | 1 -2 0 |
| 3.425 | 26.0 | 17 | 1 1 2 |
| 2.706 | 33.1 | 28 | 1 1 -4 |
| 2.239 | 40.3 | 28 | -2 1 4 |
| 2.044 | 44.3 | 24 | 0 3 -4 |
| 1.926 | 47.2 | 13 | 2 2 2 |
| 1.737 | 52.7 | 17 | 2 -4 0 |